# AgPPbS4
Simulated powder X-ray diffraction pattern, Cu Kα (weighted mean of Kα1 and Kα2). Input: DFT lattice parameters and positions (PBE).
Intensities are scaled so that the largest is 100.

Cell and atoms:
Unit cell a=7.0021 b=6.7066 c=7.6306 alpha=90.00 beta=110.47 gamma=90.00
Space group P2_1/m (No. 11)
One atom of each set of equivalent atoms:
Ag  0.2134  0.2500  0.0593
P  0.2471  0.7500  0.8420
Pb  0.2386  0.2500  0.5883
S  0.0413  0.5087  0.7682
S  0.3704  0.7500  0.1213
S  0.4318  0.7500  0.6861

Main lines, sorted by position (2θ from 15° to 90°):
| hkl | 2θ/deg | Rel. int. |
| --- | --- | --- |
| 1 1 0 | 18.92 | 100 |
| 1 0 -2 | 23.82 | 30 |
| 0 2 0 | 26.58 | 49 |
| 2 0 0 | 27.19 | 24 |
| 0 1 2 | 28.29 | 36 |
| 2 1 -2 | 32.76 | 50 |
| 1 1 2 | 35.17 | 28 |
| 1 2 -2 | 35.99 | 51 |
| 2 2 0 | 38.39 | 42 |
| 3 1 0 | 43.52 | 26 |